# 1
The following is a simulated XRD peak list of AlHgAu2. It was derived from a crystal structure in Alexandria, relaxed with GGA-PBE, using a wavelength of 1.5418 Å.

Peak list (10 most intense, 10 to 90 degrees two-theta, low angle first)
2θ (°), d/Å, I_rel
32.51, 2.754, 28
33.89, 2.645, 51
34.55, 2.596, 100
36.14, 2.486, 26
42.87, 2.110, 69
43.83, 2.066, 16
54.91, 1.672, 28
58.25, 1.584, 15
66.11, 1.413, 16
72.86, 1.298, 15

Cell and atoms:
```
AlHgAu2
1.0
5.824 0.000 0.000
0.000 3.291 0.000
-2.020 0.000 8.263
Al Hg Au
2 2 4
Cartesian
0.000 0.000 0.000
2.912 1.645 0.000
-1.010 1.645 4.131
1.902 0.000 4.131
0.979 1.645 1.766
-0.087 0.000 6.496
3.891 0.000 1.766
2.825 1.645 6.496
```

=====

# 2
The following is a simulated XRD peak list of Na2Al3HgAu12. It was derived from a crystal structure in Alexandria, relaxed with GGA-PBE, using a wavelength of 1.5418 Å.

Peak list (10 most intense, 10 to 90 degrees two-theta, low angle first)
2θ (°), d/Å, I_rel
20.46, 4.341, 18
23.00, 3.867, 39
30.97, 2.887, 100
33.05, 2.710, 29
37.41, 2.404, 31
41.61, 2.170, 71
47.00, 1.934, 43
52.77, 1.735, 18
64.55, 1.444, 14
79.78, 1.202, 13

Cell and atoms:
```
Na2Al3HgAu12
1.0
4.341 2.506 6.012
-4.341 2.506 6.012
0.000 -5.012 6.012
Na Al Hg Au
2 3 1 12
Cartesian
0.000 0.000 1.621
0.000 0.000 16.416
-2.170 -1.253 6.012
-2.170 1.253 12.025
0.000 2.506 6.012
0.000 0.000 9.019
-2.388 -1.379 8.529
0.000 -2.317 5.265
-2.007 1.159 5.265
0.000 -2.758 9.508
-2.388 1.379 9.508
-2.007 -1.159 12.772
2.007 1.159 5.265
2.388 -1.379 8.529
0.000 2.758 8.529
2.007 -1.159 12.772
0.000 2.317 12.772
2.388 1.379 9.508
```

=====

# 3
The following is a simulated XRD peak list of Pu2Al4HgAu3. It was derived from a crystal structure in Alexandria, relaxed with GGA-PBE, using a wavelength of 1.5418 Å.

Peak list (10 most intense, 10 to 90 degrees two-theta, low angle first)
2θ (°), d/Å, I_rel
24.92, 3.573, 20
26.23, 3.397, 21
29.95, 2.983, 49
32.30, 2.772, 66
33.35, 2.687, 100
41.10, 2.196, 57
47.18, 1.927, 27
53.21, 1.721, 33
64.32, 1.448, 22
69.97, 1.345, 26

Cell and atoms:
```
Pu2Al4HgAu3
1.0
4.393 0.000 0.000
0.000 4.393 0.000
0.000 0.000 10.718
Pu Al Hg Au
2 4 1 3
Cartesian
0.000 2.196 2.655
2.196 0.000 8.064
0.000 0.000 0.000
0.000 2.196 6.874
2.196 0.000 3.844
2.196 2.196 0.000
0.000 0.000 5.359
0.000 2.196 9.352
2.196 0.000 1.367
2.196 2.196 5.359
```

=====

# 4
The following is a simulated XRD peak list of Ho3Al2Au4. It was derived from a crystal structure in Alexandria, relaxed with GGA-PBE, using a wavelength of 1.5418 Å.

Peak list (10 most intense, 10 to 90 degrees two-theta, low angle first)
2θ (°), d/Å, I_rel
31.17, 2.870, 22
31.76, 2.818, 49
33.60, 2.667, 32
34.05, 2.633, 49
34.53, 2.597, 100
39.08, 2.305, 78
39.64, 2.274, 48
51.26, 1.782, 17
52.92, 1.730, 17
67.77, 1.383, 20

Cell and atoms:
```
Ho3Al2Au4
1.0
5.387 -2.274 0.000
5.387 2.274 0.000
-3.790 0.000 7.787
Ho Al Au
3 2 4
Cartesian
0.000 0.000 0.000
2.649 0.000 2.421
4.335 0.000 5.366
1.184 0.000 5.246
5.800 0.000 2.541
-0.645 0.000 3.133
-0.451 0.000 7.227
7.435 0.000 0.561
7.629 0.000 4.654
```

=====

# 5
The following is a simulated XRD peak list of HoAl2Au4. It was derived from a crystal structure in Alexandria, relaxed with GGA-PBE, using a wavelength of 1.5418 Å.

Peak list (10 most intense, 10 to 90 degrees two-theta, low angle first)
2θ (°), d/Å, I_rel
28.36, 3.147, 23
28.62, 3.119, 29
33.33, 2.688, 27
34.56, 2.596, 100
35.19, 2.550, 73
36.93, 2.434, 37
38.51, 2.337, 22
40.32, 2.237, 56
42.55, 2.125, 21
45.78, 1.982, 25

Cell and atoms:
```
HoAl2Au4
1.0
17.407 0.000 0.000
0.000 4.474 0.000
0.000 0.000 6.849
Ho Al Au
4 8 16
Cartesian
2.468 1.118 0.158
6.236 3.355 3.583
11.171 1.118 3.266
14.940 3.355 6.691
0.631 3.355 1.776
3.763 1.118 3.685
4.940 3.355 0.260
8.073 1.118 5.201
9.335 3.355 1.649
12.467 1.118 6.589
13.644 3.355 3.165
16.776 1.118 5.073
0.589 3.355 5.959
1.235 1.118 3.254
3.212 3.355 2.200
3.342 3.355 5.105
5.362 1.118 1.680
5.491 1.118 5.624
7.469 3.355 6.678
8.114 1.118 2.534
9.293 3.355 4.315
9.938 1.118 0.171
11.916 3.355 1.225
12.045 3.355 5.169
14.066 1.118 1.745
14.195 1.118 4.650
16.173 3.355 3.596
16.818 1.118 0.890
```

=====

# 6
The following is a simulated XRD peak list of Ho3Al9Au2. It was derived from a crystal structure in Alexandria, relaxed with GGA-PBE, using a wavelength of 1.5418 Å.

Peak list (10 most intense, 10 to 90 degrees two-theta, low angle first)
2θ (°), d/Å, I_rel
14.43, 6.140, 17
22.02, 4.037, 16
22.57, 3.940, 56
28.15, 3.170, 22
34.21, 2.621, 30
35.05, 2.560, 100
36.74, 2.446, 16
42.28, 2.138, 20
55.47, 1.657, 15
62.87, 1.478, 14

Cell and atoms:
```
Ho3Al9Au2
1.0
-2.138 5.120 6.140
2.138 -5.120 6.140
2.138 5.120 -6.140
Ho Al Au
3 9 2
Cartesian
0.000 0.000 0.000
0.000 0.000 3.818
0.000 0.000 8.461
2.138 -1.285 1.971
2.138 -2.262 4.485
2.138 1.285 1.971
0.000 2.858 1.654
0.000 5.120 0.000
2.138 2.262 4.485
0.000 3.835 4.168
0.000 7.382 1.654
0.000 6.405 4.168
2.138 2.974 0.000
0.000 2.146 6.140
```

=====

# 7
The following is a simulated XRD peak list of HoTmAlAu. It was derived from a crystal structure in Alexandria, relaxed with GGA-PBE, using a wavelength of 1.5418 Å.

Peak list (10 most intense, 10 to 90 degrees two-theta, low angle first)
2θ (°), d/Å, I_rel
12.00, 7.377, 33
28.04, 3.183, 14
35.20, 2.550, 100
36.00, 2.495, 47
38.08, 2.363, 9
49.42, 1.844, 9
51.83, 1.764, 17
62.64, 1.483, 19
64.21, 1.451, 35
74.42, 1.275, 11

Cell and atoms:
```
HoTmAlAu
1.0
3.528 0.000 0.000
0.000 3.528 0.000
0.000 0.000 7.377
Ho Tm Al Au
1 1 1 1
Cartesian
0.000 0.000 0.000
0.000 0.000 3.584
1.764 1.764 5.463
1.764 1.764 1.861
```

=====

# 8
The following is a simulated XRD peak list of AlAu2I8. It was derived from a crystal structure in Alexandria, relaxed with GGA-PBE, using a wavelength of 1.5418 Å.

Peak list (10 most intense, 10 to 90 degrees two-theta, low angle first)
2θ (°), d/Å, I_rel
12.44, 7.113, 26
12.73, 6.953, 75
16.04, 5.527, 34
16.77, 5.286, 25
21.02, 4.227, 100
25.76, 3.459, 58
30.02, 2.976, 28
32.11, 2.788, 57
35.45, 2.532, 25
38.66, 2.329, 26

Cell and atoms:
```
AlAu2I8
1.0
7.159 0.000 0.000
1.273 7.389 0.000
2.437 3.075 10.932
Al Au I
1 2 8
Cartesian
0.000 0.000 0.000
1.938 3.123 6.532
8.930 7.341 4.400
2.449 6.085 2.122
2.623 1.793 4.278
4.841 8.720 9.472
4.096 4.763 6.148
6.773 5.701 4.784
6.028 1.744 1.460
8.246 8.671 6.654
8.420 4.379 8.810
```